This entry pairs a crystal structure of CuC8S4N4Cl with its calculated X-ray powder pattern. Radiation: Cu Kα. Structure: DFT lattice parameters and positions (GGA-PBE).
No peak broadening, texture or thermal motion is included.

Structure:
Unit cell a=14.545 b=14.545 c=3.406 alpha=90.00 beta=90.00 gamma=90.00
Space group I-4 (No. 82)
Unique sites:
1 Cu 0.000 0.000 0.000
2 C 0.004 0.778 0.239
3 C 0.048 0.295 0.246
4 S 0.068 0.865 0.245
5 N 0.097 0.362 0.254
6 Cl 0.000 0.500 0.250

Main lines, by angle (10° ≤ 2θ ≤ 90°):
2θ (°)  Rel. int.  hkl
12.17  100  2 0 0
26.89  35  1 0 1
27.42  26  4 2 0
29.61  18  2 1 1
32.12  14  3 0 1
34.46  27  3 2 1